# BaCaAl3P2H2O14
Calculated PXRD pattern, Cu Kα (λ = 1.5418 Å). Input: a DFT-relaxed cell (PBE, the Materials Project).
Neutral-atom scattering factors, no anomalous dispersion.

Principal peaks in the range 2θ = 10–90°, in order of rising 2θ:
hkl 1 0 0, d = 5.862 Å, 2θ 15.11, I = 91.7; hkl 1 1 0, d = 3.737 Å, 2θ 23.81, I = 48.9; hkl 1 1 2, d = 3.646 Å, 2θ 24.42, I = 100.0; hkl 2 0 1, d = 3.469 Å, 2θ 25.68, I = 59.1; hkl 1 0 2, d = 3.232 Å, 2θ 27.60, I = 57.0; hkl 1 2 2, d = 3.039 Å, 2θ 29.39, I = 43.1; hkl 2 1 1, d = 3.017 Å, 2θ 29.61, I = 35.9; hkl 2 0 2, d = 2.931 Å, 2θ 30.50, I = 31.9; hkl 1 2 0, d = 2.442 Å, 2θ 36.80, I = 35.3; hkl 0 3 1, d = 2.358 Å, 2θ 38.17, I = 30.9

Cell and atoms:
Cell lengths 6.938, 7.194, 7.321 Å; angles 62.31, 61.74, 89.98 degrees
Fractional positions:
Ba (0.000, 0.000, 0.000)
Ca (0.498, 0.548, 0.004)
Al (0.025, 0.524, 0.446)
Al (0.528, 0.523, 0.446)
Al (0.991, 0.545, 0.017)
P (0.283, 0.902, 0.434)
P (0.726, 0.138, 0.548)
H (0.282, 0.290, 0.435)
H (0.730, 0.723, 0.542)
O (0.128, 0.800, 0.384)
O (0.136, 0.614, 0.132)
O (0.147, 0.833, 0.707)
O (0.196, 0.437, 0.812)
O (0.286, 0.431, 0.429)
O (0.367, 0.151, 0.265)
O (0.489, 0.800, 0.383)
O (0.512, 0.226, 0.615)
O (0.660, 0.891, 0.681)
O (0.725, 0.581, 0.551)
O (0.732, 0.614, 0.132)
O (0.867, 0.236, 0.265)
O (0.874, 0.226, 0.614)
O (0.993, 0.438, 0.811)

***

# CuSnF6
Calculated PXRD pattern, Cu Kα (λ = 1.5418 Å). Input: a DFT-relaxed cell (PBE, the Materials Project).
Neutral-atom scattering factors, no anomalous dispersion.

Principal peaks in the range 2θ = 10–90°, in order of rising 2θ:
hkl 0 1 0, d = 3.995 Å, 2θ 22.25, I = 59.3; hkl 1 0 -1, d = 3.760 Å, 2θ 23.66, I = 100.0; hkl 1 0 1, d = 2.861 Å, 2θ 31.26, I = 18.6; hkl 1 1 -1, d = 2.780 Å, 2θ 32.20, I = 14.9; hkl 0 1 2, d = 2.737 Å, 2θ 32.72, I = 15.1; hkl -1 1 1, d = 2.697 Å, 2θ 33.22, I = 10.5; hkl 0 2 0, d = 1.997 Å, 2θ 45.41, I = 10.7; hkl 2 0 -2, d = 1.880 Å, 2θ 48.41, I = 17.9; hkl 1 2 3, d = 1.721 Å, 2θ 53.23, I = 21.5; hkl 0 3 2, d = 1.554 Å, 2θ 59.49, I = 13.2

Cell and atoms:
Cell lengths 5.178, 5.272, 5.494 Å; angles 62.64, 89.78, 62.29 degrees
Fractional positions:
Cu (0.000, 0.000, 0.000)
Sn (0.500, 0.000, 0.500)
F (0.129, 0.115, 0.247)
F (0.245, 0.125, 0.753)
F (0.394, 0.467, 0.266)
F (0.606, 0.533, 0.734)
F (0.755, 0.875, 0.247)
F (0.871, 0.885, 0.753)

***

# K3NaSn3Se8
Calculated PXRD pattern, Cu Kα (λ = 1.5418 Å). Input: a DFT-relaxed cell (PBE, the Materials Project).
Neutral-atom scattering factors, no anomalous dispersion.

Principal peaks in the range 2θ = 10–90°, in order of rising 2θ:
hkl 1 1 0, d = 5.889 Å, 2θ 15.04, I = 76.8; hkl 2 1 2, d = 3.285 Å, 2θ 27.15, I = 100.0; hkl 2 2 0, d = 2.944 Å, 2θ 30.36, I = 46.5; hkl 2 0 4, d = 2.672 Å, 2θ 33.54, I = 92.7; hkl 3 1 4, d = 2.101 Å, 2θ 43.06, I = 43.8; hkl 2 1 6, d = 1.971 Å, 2θ 46.06, I = 16.9; hkl 3 3 0, d = 1.963 Å, 2θ 46.25, I = 22.1; hkl 4 1 2, d = 1.940 Å, 2θ 46.82, I = 28.5; hkl 4 2 0, d = 1.862 Å, 2θ 48.91, I = 18.6; hkl 4 0 4, d = 1.787 Å, 2θ 51.11, I = 21.0

Cell and atoms:
Cell lengths 8.328, 8.328, 13.934 Å; angles 90.00, 90.00, 90.00 degrees
Fractional positions:
K (0.250, 0.250, 0.000)
K (0.250, 0.250, 0.277)
K (0.250, 0.250, 0.723)
K (0.750, 0.750, 0.000)
K (0.750, 0.750, 0.277)
K (0.750, 0.750, 0.723)
Na (0.250, 0.750, 0.000)
Na (0.750, 0.250, 0.000)
Sn (0.250, 0.750, 0.246)
Sn (0.250, 0.750, 0.500)
Sn (0.250, 0.750, 0.754)
Sn (0.750, 0.250, 0.246)
Sn (0.750, 0.250, 0.500)
Sn (0.750, 0.250, 0.754)
Se (0.069, 0.569, 0.147)
Se (0.069, 0.931, 0.853)
Se (0.086, 0.586, 0.623)
Se (0.086, 0.914, 0.377)
Se (0.414, 0.586, 0.377)
Se (0.414, 0.914, 0.623)
Se (0.431, 0.569, 0.853)
Se (0.431, 0.931, 0.147)
Se (0.569, 0.069, 0.853)
Se (0.569, 0.431, 0.147)
Se (0.586, 0.086, 0.377)
Se (0.586, 0.414, 0.623)
Se (0.914, 0.086, 0.623)
Se (0.914, 0.414, 0.377)
Se (0.931, 0.069, 0.147)
Se (0.931, 0.431, 0.853)

***

# Sm2MgCu2O6
Calculated PXRD pattern, Cu Kα (λ = 1.5418 Å). Input: a DFT-relaxed cell (PBE, the Materials Project).
Neutral-atom scattering factors, no anomalous dispersion.

Principal peaks in the range 2θ = 10–90°, in order of rising 2θ:
hkl 0 1 0, d = 5.245 Å, 2θ 16.90, I = 34.7; hkl 0 1 -1, d = 3.909 Å, 2θ 22.75, I = 59.2; hkl 0 1 1, d = 3.541 Å, 2θ 25.15, I = 64.0; hkl 1 -1 1, d = 2.931 Å, 2θ 30.50, I = 68.9; hkl 1 1 -1, d = 2.868 Å, 2θ 31.18, I = 58.0; hkl 1 0 -1, d = 2.799 Å, 2θ 31.98, I = 100.0; hkl 2 1 1, d = 2.624 Å, 2θ 34.17, I = 90.3; hkl 0 2 1, d = 2.259 Å, 2θ 39.91, I = 41.8; hkl 0 3 0, d = 1.749 Å, 2θ 52.30, I = 38.3; hkl -1 1 2, d = 1.664 Å, 2θ 55.21, I = 36.1

Cell and atoms:
Cell lengths 5.255, 5.764, 5.860 Å; angles 84.56, 64.25, 66.09 degrees
Fractional positions:
Sm (0.000, 0.000, 0.000)
Sm (0.159, 0.341, 0.401)
Mg (0.744, 0.653, 0.938)
Cu (0.503, 0.667, 0.456)
Cu (0.573, 0.162, 0.706)
O (0.083, 0.699, 0.641)
O (0.391, 0.989, 0.607)
O (0.421, 0.018, 0.049)
O (0.671, 0.296, 0.364)
O (0.762, 0.346, 0.806)
O (0.916, 0.646, 0.184)

***

Please write out number 4 again, unchanged.
# Sm2MgCu2O6
Calculated PXRD pattern, Cu Kα (λ = 1.5418 Å). Input: a DFT-relaxed cell (PBE, the Materials Project).
Neutral-atom scattering factors, no anomalous dispersion.

Principal peaks in the range 2θ = 10–90°, in order of rising 2θ:
hkl 0 1 0, d = 5.245 Å, 2θ 16.90, I = 34.7; hkl 0 1 -1, d = 3.909 Å, 2θ 22.75, I = 59.2; hkl 0 1 1, d = 3.541 Å, 2θ 25.15, I = 64.0; hkl 1 -1 1, d = 2.931 Å, 2θ 30.50, I = 68.9; hkl 1 1 -1, d = 2.868 Å, 2θ 31.18, I = 58.0; hkl 1 0 -1, d = 2.799 Å, 2θ 31.98, I = 100.0; hkl 2 1 1, d = 2.624 Å, 2θ 34.17, I = 90.3; hkl 0 2 1, d = 2.259 Å, 2θ 39.91, I = 41.8; hkl 0 3 0, d = 1.749 Å, 2θ 52.30, I = 38.3; hkl -1 1 2, d = 1.664 Å, 2θ 55.21, I = 36.1

Cell and atoms:
Cell lengths 5.255, 5.764, 5.860 Å; angles 84.56, 64.25, 66.09 degrees
Fractional positions:
Sm (0.000, 0.000, 0.000)
Sm (0.159, 0.341, 0.401)
Mg (0.744, 0.653, 0.938)
Cu (0.503, 0.667, 0.456)
Cu (0.573, 0.162, 0.706)
O (0.083, 0.699, 0.641)
O (0.391, 0.989, 0.607)
O (0.421, 0.018, 0.049)
O (0.671, 0.296, 0.364)
O (0.762, 0.346, 0.806)
O (0.916, 0.646, 0.184)